No. 1
Diffraction record for Cr4OsRh7. The PXRD pattern is theoretical, not measured: it uses the GGA-PBE geometry in Alexandria and Cu Kα (weighted mean of Kα1 and Kα2).

Cell and atoms:
```
data_Cr4OsRh7
_chemical_formula_sum 'Cr4 Os1 Rh7'
_cell_length_a 4.934
_cell_length_b 4.989
_cell_length_c 7.088
_cell_angle_alpha 92.83
_cell_angle_beta 105.28
_cell_angle_gamma 93.18
_space_group_name_H-M_alt 'P -1'
_space_group_IT_number 2
loop_
_space_group_symop_operation_xyz
'x,y,z'
'-x,-y,-z'
loop_
_atom_site_label
_atom_site_fract_x
_atom_site_fract_y
_atom_site_fract_z
_atom_site_occupancy
Cr1 0.127 0.193 0.227 1
Cr2 0.331 0.672 0.780 1
Os1 0.500 0.500 0.500 1
Rh1 0.018 0.261 0.563 1
Rh2 0.221 0.667 0.126 1
Rh3 0.293 0.156 0.921 1
Rh4 0.500 0.000 0.500 1
```

Top 10 peaks for 10 to 90 degrees two-theta, by intensity:
- 2θ = 43.59°, rel. 100
- 2θ = 42.23°, rel. 95
- 2θ = 42.83°, rel. 85
- 2θ = 42.67°, rel. 61
- 2θ = 44.92°, rel. 55
- 2θ = 43.76°, rel. 50
- 2θ = 40.07°, rel. 48
- 2θ = 39.63°, rel. 41
- 2θ = 26.12°, rel. 40
- 2θ = 41.07°, rel. 38

No. 2
Diffraction record for Ce5Tl2H. The PXRD pattern is theoretical, not measured: it uses the GGA-PBE geometry in Alexandria and Cu Kα (weighted mean of Kα1 and Kα2).

Cell and atoms:
```
data_Ce5Tl2H
_chemical_formula_sum 'Ce10 Tl4 H2'
_cell_length_a 6.930
_cell_length_b 6.930
_cell_length_c 9.051
_cell_angle_alpha 90.00
_cell_angle_beta 90.00
_cell_angle_gamma 90.00
_space_group_name_H-M_alt 'I 4 m m'
_space_group_IT_number 107
_space_group_name_Hall 'I 4 -2'
loop_
_atom_site_label
_atom_site_fract_x
_atom_site_fract_y
_atom_site_fract_z
_atom_site_occupancy
Ce1 0.000 0.000 0.000 1
Ce2 0.247 0.247 0.252 1
Tl1 0.000 0.500 0.002 1
H1 0.000 0.000 0.743 1
```

Top 10 peaks for 10 to 90 degrees two-theta, by intensity:
- 2θ = 32.54°, rel. 100
- 2θ = 36.68°, rel. 36
- 2θ = 63.45°, rel. 29
- 2θ = 55.26°, rel. 22
- 2θ = 39.84°, rel. 15
- 2θ = 52.84°, rel. 13
- 2θ = 67.75°, rel. 12
- 2θ = 68.17°, rel. 12
- 2θ = 18.10°, rel. 11
- 2θ = 26.82°, rel. 9

No. 3
Diffraction record for LiThCu17. The PXRD pattern is theoretical, not measured: it uses the GGA-PBE geometry in Alexandria and Cu Kα (weighted mean of Kα1 and Kα2).

Cell and atoms:
```
data_LiThCu17
_chemical_formula_sum 'Li3 Th3 Cu51'
_cell_length_a 8.5179
_cell_length_b 8.5179
_cell_length_c 12.4769
_cell_angle_alpha 90.00
_cell_angle_beta 90.00
_cell_angle_gamma 120.00
_space_group_name_H-M_alt 'R 3 m'
_space_group_IT_number 160
_space_group_name_Hall 'R 3 -2"'
loop_
_atom_site_label
_atom_site_fract_x
_atom_site_fract_y
_atom_site_fract_z
_atom_site_occupancy
Li1 0.0000 0.0000 0.0000 1
Th1 0.0000 0.0000 0.3177 1
Cu1 0.0000 0.0000 0.5651 1
Cu2 0.0000 0.0000 0.7611 1
Cu3 0.0023 0.5012 0.1573 1
Cu4 0.0037 0.3006 0.6590 1
Cu5 0.0043 0.5022 0.8130 1
Cu6 0.0068 0.5034 0.5062 1
```

Top 10 peaks for 10 to 90 degrees two-theta, by intensity:
- 2θ = 42.72°, rel. 100
- 2θ = 42.45°, rel. 59
- 2θ = 43.53°, rel. 49
- 2θ = 48.00°, rel. 43
- 2θ = 13.95°, rel. 43
- 2θ = 36.54°, rel. 37
- 2θ = 37.77°, rel. 31
- 2θ = 18.63°, rel. 29
- 2θ = 62.42°, rel. 24
- 2θ = 79.35°, rel. 21